Entry 1:
The following is a computed powder diffraction line list of Tl4Cd3Cl10. It was derived from a cell relaxed with PBE, using λ = 1.5418 Å (Cu Kα).
No peak broadening, texture or thermal motion is included.

Principal peaks in the range 2θ from 5° to 70°, sorted by position:
2θ 23.9, rel. 69.8
2θ 24.0, rel. 100.0
2θ 31.0, rel. 33.6
2θ 34.1, rel. 56.3
2θ 34.4, rel. 19.4
2θ 42.1, rel. 47.5
2θ 42.3, rel. 17.0
2θ 48.9, rel. 19.6
2θ 49.2, rel. 24.1
2θ 55.2, rel. 25.5
2θ 61.1, rel. 18.4
2θ 66.5, rel. 13.9

Cell and atoms:
```
data_Tl4Cd3Cl10
_cell_length_a 5.2658
_cell_length_b 5.2658
_cell_length_c 36.5422
_cell_angle_alpha 90.00
_cell_angle_beta 90.00
_cell_angle_gamma 90.00
_symmetry_space_group_name_H-M 'I 4/m m m'
_symmetry_Int_Tables_number 139
_symmetry_space_group_name_Hall '-I 4 2'
loop_
_atom_site_label
_atom_site_type_symbol
_atom_site_fract_x
_atom_site_fract_y
_atom_site_fract_z
Tl1 Tl 0.0000 0.0000 0.0682
Tl2 Tl 0.0000 0.0000 0.1998
Cd1 Cd 0.0000 0.0000 0.3554
Cd2 Cd 0.0000 0.0000 0.5000
Cl1 Cl 0.0000 0.0000 0.2855
Cl2 Cl 0.0000 0.0000 0.4287
Cl3 Cl 0.0000 0.5000 0.0000
Cl4 Cl 0.0000 0.5000 0.1398
```

***

Entry 2:
The following is a computed powder diffraction line list of Tl2Cd2Cl5. It was derived from a cell relaxed with PBE, using λ = 1.5418 Å (Cu Kα).
No peak broadening, texture or thermal motion is included.

Principal peaks in the range 2θ from 5° to 70°, sorted by position:
2θ 23.2, rel. 64.9
2θ 26.4, rel. 100.0
2θ 31.2, rel. 42.8
2θ 33.0, rel. 65.9
2θ 42.8, rel. 56.5
2θ 47.3, rel. 23.2
2θ 53.3, rel. 15.7
2θ 54.4, rel. 13.9
2θ 55.0, rel. 13.5
2θ 57.2, rel. 10.3
2θ 57.8, rel. 16.1
2θ 65.7, rel. 15.9

Cell and atoms:
```
data_Tl2Cd2Cl5
_cell_length_a 5.4305
_cell_length_b 5.4305
_cell_length_c 8.5968
_cell_angle_alpha 90.00
_cell_angle_beta 90.00
_cell_angle_gamma 90.00
_symmetry_space_group_name_H-M 'P 4/m m m'
_symmetry_Int_Tables_number 123
_symmetry_space_group_name_Hall '-P 4 2'
loop_
_atom_site_label
_atom_site_type_symbol
_atom_site_fract_x
_atom_site_fract_y
_atom_site_fract_z
Tl1 Tl 0.0000 0.0000 0.0000
Tl2 Tl 0.0000 0.0000 0.5000
Cd1 Cd 0.5000 0.5000 0.1910
Cl1 Cl 0.0000 0.5000 0.2138
Cl2 Cl 0.5000 0.5000 0.5000
```

***

What did the first record say?
The following is a computed powder diffraction line list of Tl4Cd3Cl10. It was derived from a cell relaxed with PBE, using λ = 1.5418 Å (Cu Kα).
No peak broadening, texture or thermal motion is included.

Principal peaks in the range 2θ from 5° to 70°, sorted by position:
2θ 23.9, rel. 69.8
2θ 24.0, rel. 100.0
2θ 31.0, rel. 33.6
2θ 34.1, rel. 56.3
2θ 34.4, rel. 19.4
2θ 42.1, rel. 47.5
2θ 42.3, rel. 17.0
2θ 48.9, rel. 19.6
2θ 49.2, rel. 24.1
2θ 55.2, rel. 25.5
2θ 61.1, rel. 18.4
2θ 66.5, rel. 13.9

Cell and atoms:
```
data_Tl4Cd3Cl10
_cell_length_a 5.2658
_cell_length_b 5.2658
_cell_length_c 36.5422
_cell_angle_alpha 90.00
_cell_angle_beta 90.00
_cell_angle_gamma 90.00
_symmetry_space_group_name_H-M 'I 4/m m m'
_symmetry_Int_Tables_number 139
_symmetry_space_group_name_Hall '-I 4 2'
loop_
_atom_site_label
_atom_site_type_symbol
_atom_site_fract_x
_atom_site_fract_y
_atom_site_fract_z
Tl1 Tl 0.0000 0.0000 0.0682
Tl2 Tl 0.0000 0.0000 0.1998
Cd1 Cd 0.0000 0.0000 0.3554
Cd2 Cd 0.0000 0.0000 0.5000
Cl1 Cl 0.0000 0.0000 0.2855
Cl2 Cl 0.0000 0.0000 0.4287
Cl3 Cl 0.0000 0.5000 0.0000
Cl4 Cl 0.0000 0.5000 0.1398
```